(1)
# TmMoClO4
Computed powder XRD pattern, Cu Kα. Input: a DFT-relaxed cell (GGA+U, the Materials Project).
Peak positions follow from Bragg's law for the DFT cell and can differ from measured ones.

The 12 most intense peaks (2θ = 10–90°), by angle:
2θ 13.51, intensity 67; 2θ 18.21, intensity 56; 2θ 24.59, intensity 100; 2θ 25.87, intensity 54; 2θ 28.76, intensity 58; 2θ 29.47, intensity 61; 2θ 34.78, intensity 42; 2θ 35.99, intensity 28; 2θ 46.16, intensity 27; 2θ 46.43, intensity 24; 2θ 46.98, intensity 22; 2θ 50.44, intensity 28

Cell: 10.217 7.241 6.876 Å, 90.00 107.54 90.00°
Space group C2/m (No. 12)
Unique sites:
Tm1 0.222 0.000 0.113
Mo1 0.138 0.500 0.269
Cl1 0.010 0.000 0.768
O1 0.045 0.500 0.800
O2 0.201 0.307 0.154
O3 0.206 0.500 0.538

(2)
# YMoClO4
Computed powder XRD pattern, Cu Kα. Input: a DFT-relaxed cell (GGA+U, the Materials Project).
Peak positions follow from Bragg's law for the DFT cell and can differ from measured ones.

The 12 most intense peaks (2θ = 10–90°), by angle:
2θ 13.35, intensity 36; 2θ 18.00, intensity 31; 2θ 24.22, intensity 100; 2θ 25.52, intensity 47; 2θ 26.88, intensity 23; 2θ 28.43, intensity 39; 2θ 29.15, intensity 46; 2θ 34.42, intensity 34; 2θ 35.47, intensity 19; 2θ 45.63, intensity 23; 2θ 45.79, intensity 20; 2θ 49.59, intensity 29

Cell: 10.327 7.349 6.950 Å, 90.00 107.33 90.00°
Space group C2/m (No. 12)
Unique sites:
Y1 0.222 0.000 0.114
Mo1 0.138 0.500 0.269
Cl1 0.011 0.000 0.768
O1 0.042 0.500 0.798
O2 0.199 0.309 0.154
O3 0.207 0.500 0.534

(3)
# Na3W2Cl4O4
Computed powder XRD pattern, Cu Kα. Input: a DFT-relaxed cell (GGA+U, the Materials Project).
Peak positions follow from Bragg's law for the DFT cell and can differ from measured ones.

The 12 most intense peaks (2θ = 10–90°), by angle:
2θ 11.78, intensity 94; 2θ 23.02, intensity 100; 2θ 28.56, intensity 29; 2θ 31.41, intensity 20; 2θ 31.88, intensity 19; 2θ 35.85, intensity 18; 2θ 37.43, intensity 42; 2θ 45.36, intensity 22; 2θ 47.03, intensity 13; 2θ 48.10, intensity 13; 2θ 51.79, intensity 17; 2θ 59.12, intensity 16

Cell: 5.614 5.696 15.031 Å, 90.00 90.00 90.00°
Space group Amm2 (No. 38)
Unique sites:
Na1 0.000 0.000 0.000
Na2 0.000 0.000 0.262
Na3 0.500 0.000 0.502
W1 0.000 0.000 0.633
W2 0.500 0.000 0.133
Cl1 0.000 0.000 0.464
Cl2 0.000 0.000 0.797
Cl3 0.500 0.000 0.295
Cl4 0.500 0.000 0.966
O1 0.254 0.245 0.127

(4)
# SrNb2NiClO7
Computed powder XRD pattern, Cu Kα. Input: a DFT-relaxed cell (GGA+U, the Materials Project).
Peak positions follow from Bragg's law for the DFT cell and can differ from measured ones.

The 12 most intense peaks (2θ = 10–90°), by angle:
2θ 22.24, intensity 41; 2θ 22.56, intensity 65; 2θ 27.07, intensity 92; 2θ 31.89, intensity 88; 2θ 32.11, intensity 100; 2θ 44.38, intensity 35; 2θ 45.39, intensity 23; 2θ 46.05, intensity 64; 2θ 54.24, intensity 25; 2θ 56.68, intensity 24; 2θ 57.11, intensity 35; 2θ 66.65, intensity 26

Cell: 3.942 3.942 11.989 Å, 90.00 90.00 90.00°
Space group P4/mmm (No. 123)
Unique sites:
Sr1 0.000 0.000 0.000
Nb1 0.500 0.500 0.191
Ni1 0.500 0.500 0.500
Cl1 0.000 0.000 0.500
O1 0.000 0.500 0.157
O2 0.500 0.500 0.000
O3 0.500 0.500 0.343